Record 1
Starting from a structure optimized by DFT (PBE+U), the PXRD pattern of MgV4O8 was computed for Cu Kα.
Peak positions follow from Bragg's law for the DFT cell and can differ from measured ones.

Most intense lines, 2θ from 5° to 70°, in order of falling intensity:
d (Å)	I/Imax
4.486	100
3.383	79
3.527	77
2.745	52
2.677	52
4.565	51
2.799	50
1.965	47
2.282	41
2.035	34

abc: 5.113 5.539 6.018
angles: 94.03 95.97 115.48
Fractional positions:
Mg: 0.000 0.000 0.000
V: 0.000 0.500 0.000
V: 0.000 0.500 0.500
V: 0.341 0.075 0.667
V: 0.659 0.925 0.333
O: 0.010 0.746 0.773
O: 0.063 0.247 0.720
O: 0.423 0.772 0.558
O: 0.428 0.747 0.091
O: 0.572 0.253 0.909
O: 0.577 0.228 0.442
O: 0.937 0.753 0.280
O: 0.990 0.254 0.227


Record 2
Starting from a structure optimized by DFT (PBE+U), the PXRD pattern of CsFeO2 was computed for Cu Kα.
Peak positions follow from Bragg's law for the DFT cell and can differ from measured ones.

Most intense lines, 2θ from 5° to 70°, in order of falling intensity:
d (Å)	I/Imax
3.061	100
1.767	39
1.369	16
2.611	16
1.531	16
2.165	13
4.999	6
1.666	5
1.986	2
1.464	2

abc: 6.122 6.122 6.122
angles: 60.00 60.00 60.00
Fractional positions:
Cs: 0.125 0.125 0.125
Cs: 0.875 0.875 0.875
Fe: 0.375 0.375 0.375
Fe: 0.625 0.625 0.625
O: 0.000 0.500 0.500
O: 0.500 0.000 0.500
O: 0.500 0.500 0.000
O: 0.500 0.500 0.500


Record 3
Starting from a structure optimized by DFT (PBE+U), the PXRD pattern of Li2FeP8O24 was computed for Cu Kα.
Peak positions follow from Bragg's law for the DFT cell and can differ from measured ones.

Most intense lines, 2θ from 5° to 70°, in order of falling intensity:
d (Å)	I/Imax
4.606	100
3.268	89
3.028	62
3.017	61
3.225	53
4.258	27
3.415	24
4.279	23
8.759	23
5.245	22

abc: 7.257 7.298 9.773
angles: 110.42 97.98 109.91
Fractional positions:
Li: 0.000 0.000 0.000
Li: 0.436 0.195 0.247
Fe: 0.538 0.802 0.741
P: 0.184 0.994 0.698
P: 0.186 0.501 0.185
P: 0.225 0.266 0.523
P: 0.230 0.705 0.967
P: 0.735 0.292 0.015
P: 0.763 0.725 0.476
P: 0.782 0.489 0.791
P: 0.802 0.004 0.306
O: 0.001 0.792 0.556
O: 0.023 0.540 0.826
O: 0.133 0.034 0.844
O: 0.196 0.885 0.073
O: 0.202 0.199 0.662
O: 0.212 0.303 0.179
O: 0.256 0.552 0.049
O: 0.297 0.130 0.410
O: 0.299 0.690 0.339
O: 0.331 0.508 0.591
O: 0.373 0.952 0.689
O: 0.404 0.745 0.899
O: 0.566 0.254 0.086
O: 0.607 0.037 0.303
O: 0.654 0.486 0.403
O: 0.671 0.295 0.643
O: 0.680 0.854 0.587
O: 0.718 0.443 0.931
O: 0.754 0.692 0.806
O: 0.761 0.099 0.908
O: 0.788 0.805 0.342
O: 0.838 0.962 0.152
O: 0.948 0.455 0.149
O: 0.987 0.209 0.441


Record 4
Starting from a structure optimized by DFT (PBE+U), the PXRD pattern of Li3MnFe2B3O9 was computed for Cu Kα.
Peak positions follow from Bragg's law for the DFT cell and can differ from measured ones.

Most intense lines, 2θ from 5° to 70°, in order of falling intensity:
d (Å)	I/Imax
4.129	100
2.505	78
2.384	32
1.901	28
1.727	25
1.679	17
2.884	16
2.703	16
2.064	15
1.398	13

abc: 8.254 3.152 14.307
angles: 90.00 90.06 90.00
Fractional positions:
Li: 0.000 0.000 0.000
Li: 0.026 0.000 0.706
Li: 0.074 0.000 0.342
Li: 0.502 0.000 0.499
Li: 0.529 0.000 0.208
Li: 0.575 0.000 0.840
Mn: 0.193 0.500 0.163
Mn: 0.235 0.500 0.855
Fe: 0.180 0.500 0.529
Fe: 0.681 0.500 0.028
Fe: 0.692 0.500 0.664
Fe: 0.731 0.500 0.353
B: 0.367 0.500 0.350
B: 0.369 0.000 0.681
B: 0.370 0.000 0.016
B: 0.865 0.000 0.182
B: 0.866 0.500 0.848
B: 0.868 0.000 0.516
O: 0.004 0.500 0.792
O: 0.016 0.000 0.139
O: 0.022 0.000 0.476
O: 0.214 0.500 0.309
O: 0.228 0.000 0.627
O: 0.231 0.000 0.961
O: 0.355 0.000 0.113
O: 0.358 0.000 0.778
O: 0.382 0.500 0.447
O: 0.506 0.500 0.295
O: 0.520 0.000 0.638
O: 0.523 0.000 0.975
O: 0.714 0.500 0.806
O: 0.726 0.000 0.127
O: 0.732 0.000 0.458
O: 0.849 0.000 0.612
O: 0.854 0.000 0.279
O: 0.880 0.500 0.945


Record 5
Starting from a structure optimized by DFT (PBE+U), the PXRD pattern of Mo4O9 was computed for Cu Kα.
Peak positions follow from Bragg's law for the DFT cell and can differ from measured ones.

Most intense lines, 2θ from 5° to 70°, in order of falling intensity:
d (Å)	I/Imax
3.043	100
3.852	94
2.152	54
2.388	44
1.878	41
6.804	39
1.627	30
4.811	27
1.435	26
3.402	26

abc: 6.804 6.804 3.852
angles: 90.00 90.00 90.00
Fractional positions:
Mo: 0.127 0.304 0.000
Mo: 0.304 0.873 0.000
Mo: 0.696 0.127 0.000
Mo: 0.873 0.696 0.000
O: 0.000 0.000 0.000
O: 0.130 0.300 0.500
O: 0.162 0.606 0.000
O: 0.300 0.870 0.500
O: 0.394 0.162 0.000
O: 0.606 0.838 0.000
O: 0.700 0.130 0.500
O: 0.838 0.394 0.000
O: 0.870 0.700 0.500


Record 6
Starting from a structure optimized by DFT (PBE+U), the PXRD pattern of Y2Be2FeSi2O10 was computed for Cu Kα.
Peak positions follow from Bragg's law for the DFT cell and can differ from measured ones.

Most intense lines, 2θ from 5° to 70°, in order of falling intensity:
d (Å)	I/Imax
4.793	100
2.569	98
2.590	98
2.971	93
2.844	84
3.140	83
2.853	79
3.165	77
3.061	60
1.895	56

abc: 4.793 7.571 10.041
angles: 90.00 90.55 90.00
Fractional positions:
Y: 0.001 0.106 0.171
Y: 0.001 0.394 0.671
Y: 0.999 0.606 0.329
Y: 0.999 0.894 0.829
Be: 0.466 0.587 0.835
Be: 0.466 0.913 0.335
Be: 0.534 0.087 0.665
Be: 0.534 0.413 0.165
Fe: 0.000 0.000 0.500
Fe: 0.000 0.500 0.000
Si: 0.481 0.220 0.922
Si: 0.481 0.280 0.422
Si: 0.519 0.720 0.578
Si: 0.519 0.780 0.078
O: 0.202 0.087 0.668
O: 0.202 0.413 0.168
O: 0.238 0.086 0.971
O: 0.238 0.414 0.471
O: 0.309 0.652 0.696
O: 0.309 0.848 0.196
O: 0.314 0.107 0.358
O: 0.314 0.393 0.858
O: 0.324 0.713 0.951
O: 0.324 0.787 0.451
O: 0.676 0.213 0.549
O: 0.676 0.287 0.049
O: 0.686 0.607 0.142
O: 0.686 0.893 0.642
O: 0.691 0.152 0.804
O: 0.691 0.348 0.304
O: 0.762 0.586 0.529
O: 0.762 0.914 0.029
O: 0.798 0.587 0.832
O: 0.798 0.913 0.332


Record 7
Starting from a structure optimized by DFT (PBE+U), the PXRD pattern of Li2CoSiO4 was computed for Cu Kα.
Peak positions follow from Bragg's law for the DFT cell and can differ from measured ones.

Most intense lines, 2θ from 5° to 70°, in order of falling intensity:
d (Å)	I/Imax
3.684	100
2.497	53
5.457	52
2.692	52
3.095	37
2.370	35
1.568	27
1.894	23
1.416	22
2.728	22

abc: 5.457 4.994 6.189
angles: 90.00 90.06 90.00
Fractional positions:
Li: 0.168 0.000 0.001
Li: 0.168 0.999 0.498
Li: 0.832 0.499 0.502
Li: 0.832 0.500 0.999
Co: 0.341 0.500 0.249
Co: 0.659 0.000 0.751
Si: 0.327 0.507 0.750
Si: 0.673 0.007 0.250
O: 0.181 0.399 0.968
O: 0.182 0.399 0.531
O: 0.327 0.837 0.750
O: 0.385 0.901 0.249
O: 0.615 0.401 0.751
O: 0.673 0.337 0.250
O: 0.818 0.899 0.469
O: 0.819 0.899 0.032


Record 8
Starting from a structure optimized by DFT (PBE+U), the PXRD pattern of Li2CrFeO4 was computed for Cu Kα.
Peak positions follow from Bragg's law for the DFT cell and can differ from measured ones.

Most intense lines, 2θ from 5° to 70°, in order of falling intensity:
d (Å)	I/Imax
4.849	100
2.095	53
2.523	27
2.089	26
1.477	15
1.480	14
1.483	14
2.517	14
1.922	13
2.415	12

abc: 5.114 5.930 7.832
angles: 79.01 77.51 73.42
Fractional positions:
Li: 0.000 0.000 0.000
Li: 0.001 0.666 0.332
Li: 0.002 0.333 0.666
Li: 0.498 0.834 0.165
Li: 0.501 0.167 0.832
Li: 0.505 0.498 0.499
Cr: 0.001 0.497 0.002
Cr: 0.501 0.002 0.497
Cr: 0.501 0.331 0.167
Fe: 0.001 0.166 0.332
Fe: 0.001 0.835 0.663
Fe: 0.501 0.666 0.833
O: 0.239 0.181 0.095
O: 0.242 0.513 0.757
O: 0.242 0.853 0.420
O: 0.256 0.314 0.406
O: 0.259 0.649 0.077
O: 0.260 0.987 0.740
O: 0.742 0.683 0.587
O: 0.743 0.346 0.925
O: 0.747 0.019 0.258
O: 0.760 0.817 0.911
O: 0.761 0.154 0.570
O: 0.763 0.478 0.243